Record 1
# LiAlAs2
Computed powder XRD pattern, copper Kα. Input: a DFT-relaxed cell (PBE, the Materials Project).
Kinematic intensities with the Lorentz-polarization factor, no thermal factor.

Most intense lines, 2θ = 10–90°, sorted by position:
2θ (°), I_rel
20.27, 32
24.97, 53
30.28, 100
30.44, 15
39.14, 14
40.70, 27
47.43, 28
50.54, 14

Structure:
```
LiAlAs2
1.0
-3.954 5.662 7.131
3.954 -5.662 7.131
3.954 5.662 -7.131
Li Al As
8 8 16
Direct
0.037 0.153 0.388
0.235 0.347 0.384
0.265 0.649 0.112
0.463 0.851 0.116
0.537 0.149 0.884
0.735 0.351 0.888
0.765 0.653 0.616
0.963 0.847 0.612
0.051 0.520 0.275
0.245 0.020 0.969
0.255 0.224 0.775
0.449 0.724 0.469
0.551 0.276 0.531
0.745 0.776 0.225
0.755 0.980 0.031
0.949 0.480 0.725
0.000 0.000 0.000
0.000 0.500 0.500
0.002 0.252 0.750
0.174 0.750 0.924
0.250 0.402 0.152
0.250 0.902 0.652
0.326 0.250 0.576
0.498 0.248 0.250
0.500 0.000 0.500
0.500 0.500 0.000
0.502 0.752 0.750
0.674 0.750 0.424
0.750 0.098 0.348
0.750 0.598 0.848
0.826 0.250 0.076
0.998 0.748 0.250
```

Record 2
# LiAlAsO4
Computed powder XRD pattern, copper Kα. Input: a DFT-relaxed cell (PBE, the Materials Project).
Kinematic intensities with the Lorentz-polarization factor, no thermal factor.

Most intense lines, 2θ = 10–90°, sorted by position:
2θ (°), I_rel
21.59, 100
34.33, 57
37.42, 14
44.18, 19
54.45, 16
54.93, 11
58.94, 18
66.40, 14

Structure:
```
LiAlAsO4
1.0
4.727 0.000 0.000
0.000 4.727 0.000
0.000 0.000 8.373
Li Al As O
2 2 2 8
Direct
0.000 0.000 0.000
0.500 0.500 0.500
0.000 0.000 0.500
0.500 0.500 0.000
0.000 0.500 0.750
0.500 0.000 0.250
0.194 0.254 0.615
0.246 0.694 0.885
0.254 0.806 0.385
0.306 0.246 0.115
0.694 0.754 0.115
0.746 0.194 0.385
0.754 0.306 0.885
0.806 0.746 0.615
```